The following is a simulated powder diffractogram of BaCaFe4O7. It was derived from the GGA+U geometry in Alexandria, using Cu Kα, 1.54184 Å.
Neutral-atom scattering factors, no anomalous dispersion.

Crystal structure
Cell: 6.4419 6.4419 10.5021 Å, 90.09 90.09 118.44°
Positions (direct):
Ba  0.1683  0.8317  0.5000
Ba  0.8317  0.1683  0.0000
Ca  0.1674  0.8416  0.8886
Ca  0.8416  0.1674  0.3886
Fe  0.1715  0.3607  0.6947
Fe  0.3077  0.6507  0.1995
Fe  0.3607  0.1715  0.1947
Fe  0.5024  0.5121  0.9557
Fe  0.5121  0.5024  0.4557
Fe  0.6507  0.3077  0.6995
Fe  0.7113  0.8575  0.6905
Fe  0.8575  0.7113  0.1905
O  0.0111  0.5400  0.2808
O  0.0409  0.0506  0.7551
O  0.0506  0.0409  0.2551
O  0.1799  0.3950  0.5167
O  0.2476  0.5877  0.0233
O  0.3950  0.1799  0.0167
O  0.4996  0.9791  0.2497
O  0.5010  0.5007  0.2525
O  0.5007  0.5010  0.7525
O  0.5400  0.0111  0.7808
O  0.5877  0.2476  0.5233
O  0.7541  0.8202  0.5063
O  0.8202  0.7541  0.0063
O  0.9791  0.4996  0.7497

Main lines, by angle (2θ = 5–70°):
d (Å)	2θ/deg	I/Imax
4.985	17.8	30
3.220	27.7	32
2.978	30.0	63
2.959	30.2	32
2.791	32.1	48
2.745	32.6	100
2.735	32.7	85
2.676	33.5	44
2.626	34.2	39
1.610	57.2	30

---

The following is a simulated powder diffractogram of Ba3CaFe2O9. It was derived from the GGA+U geometry in Alexandria, using Cu Kα, 1.54184 Å.
Neutral-atom scattering factors, no anomalous dispersion.

Crystal structure
Cell: 5.8271 5.8271 7.2154 Å, 90.00 90.00 120.00°
Positions (direct):
Ba  0.0000  0.0000  0.0000
Ba  0.3333  0.6667  0.6756
Ba  0.6667  0.3333  0.3244
Ca  0.0000  0.0000  0.5000
Fe  0.3333  0.6667  0.1627
Fe  0.6667  0.3333  0.8373
O  0.0000  0.5000  0.0000
O  0.1792  0.3583  0.3100
O  0.1792  0.8208  0.3100
O  0.3583  0.1792  0.6901
O  0.5000  0.0000  0.0000
O  0.5000  0.5000  0.0000
O  0.6417  0.8208  0.3100
O  0.8208  0.1792  0.6901
O  0.8208  0.6417  0.6901

Main lines, by angle (2θ = 5–70°):
d (Å)	2θ/deg	I/Imax
4.135	21.5	28
2.935	30.5	100
2.914	30.7	98
2.382	37.8	31
2.068	43.8	66
1.699	54.0	19
1.686	54.4	37
1.682	54.6	19
1.467	63.4	20
1.457	63.9	20

---

The following is a simulated powder diffractogram of Ba2CaY2Fe4O10. It was derived from the GGA+U geometry in Alexandria, using Cu Kα, 1.54184 Å.
Neutral-atom scattering factors, no anomalous dispersion.

Crystal structure
Cell: 8.2546 3.7456 9.8530 Å, 90.00 97.64 90.00°
Positions (direct):
Ba  0.0000  0.0000  0.0000
Ba  0.4003  0.0000  0.1802
Ca  0.5726  0.0000  0.8665
Y  0.4767  0.0000  0.5386
Y  0.9554  0.0000  0.5529
Fe  0.1652  0.5000  0.3658
Fe  0.2600  0.5000  0.7944
Fe  0.6954  0.5000  0.3817
Fe  0.7736  0.5000  0.7485
O  0.0219  0.5000  0.7304
O  0.1657  0.5000  0.1644
O  0.2044  0.0000  0.4746
O  0.3063  0.0000  0.9029
O  0.4571  0.5000  0.3863
O  0.4678  0.5000  0.7004
O  0.6842  0.0000  0.3959
O  0.7299  0.0000  0.6807
O  0.7435  0.5000  0.9481
O  0.9293  0.5000  0.4269

Main lines, by angle (2θ = 5–70°):
d (Å)	2θ/deg	I/Imax
6.727	13.2	73
4.462	19.9	37
2.972	30.1	93
2.949	30.3	79
2.762	32.4	100
2.728	32.8	64
2.457	36.6	57
2.203	41.0	33
1.873	48.6	45
1.625	56.7	35

---

The following is a simulated powder diffractogram of Ba2CaY2Fe4O10. It was derived from the GGA+U geometry in Alexandria, using Cu Kα, 1.54184 Å.
Neutral-atom scattering factors, no anomalous dispersion.

Crystal structure
Cell: 3.8565 8.0549 10.3214 Å, 90.00 90.00 90.00°
Positions (direct):
Ba  0.0000  0.2359  0.0000
Ba  0.0000  0.7641  0.0000
Ca  0.0000  0.5000  0.2881
Y  0.0000  0.2233  0.6137
Y  0.0000  0.7767  0.6137
Fe  0.5000  0.0000  0.4332
Fe  0.5000  0.0000  0.7967
Fe  0.5000  0.5000  0.5064
Fe  0.5000  0.5000  0.7982
O  0.0000  0.0000  0.4803
O  0.0000  0.0000  0.7586
O  0.0000  0.5000  0.5381
O  0.0000  0.5000  0.8592
O  0.5000  0.0000  0.0077
O  0.5000  0.2542  0.4686
O  0.5000  0.2572  0.7496
O  0.5000  0.5000  0.1727
O  0.5000  0.7428  0.7496
O  0.5000  0.7458  0.4686

Main lines, by angle (2θ = 5–70°):
d (Å)	2θ/deg	I/Imax
10.321	8.6	100
5.161	17.2	33
3.175	28.1	47
3.089	28.9	33
2.785	32.1	53
2.616	34.3	49
2.567	34.9	65
2.451	36.7	34
2.014	45.0	25
1.658	55.4	29

---

Please write out number 4 again, unchanged.
The following is a simulated powder diffractogram of Ba2CaY2Fe4O10. It was derived from the GGA+U geometry in Alexandria, using Cu Kα, 1.54184 Å.
Neutral-atom scattering factors, no anomalous dispersion.

Crystal structure
Cell: 3.8565 8.0549 10.3214 Å, 90.00 90.00 90.00°
Positions (direct):
Ba  0.0000  0.2359  0.0000
Ba  0.0000  0.7641  0.0000
Ca  0.0000  0.5000  0.2881
Y  0.0000  0.2233  0.6137
Y  0.0000  0.7767  0.6137
Fe  0.5000  0.0000  0.4332
Fe  0.5000  0.0000  0.7967
Fe  0.5000  0.5000  0.5064
Fe  0.5000  0.5000  0.7982
O  0.0000  0.0000  0.4803
O  0.0000  0.0000  0.7586
O  0.0000  0.5000  0.5381
O  0.0000  0.5000  0.8592
O  0.5000  0.0000  0.0077
O  0.5000  0.2542  0.4686
O  0.5000  0.2572  0.7496
O  0.5000  0.5000  0.1727
O  0.5000  0.7428  0.7496
O  0.5000  0.7458  0.4686

Main lines, by angle (2θ = 5–70°):
d (Å)	2θ/deg	I/Imax
10.321	8.6	100
5.161	17.2	33
3.175	28.1	47
3.089	28.9	33
2.785	32.1	53
2.616	34.3	49
2.567	34.9	65
2.451	36.7	34
2.014	45.0	25
1.658	55.4	29